The following is a simulated XRD peak list of CaTbTh2N4. It was derived from DFT lattice parameters and positions (GGA-PBE), using Cu Kα (weighted mean of Kα1 and Kα2).

Cell lengths 6.1749, 3.6300, 6.2812 Å; angles 90.00, 109.69, 90.00 degrees
Fractional positions:
Ca1 0.0000 0.0000 0.0000
Tb1 0.0000 0.5000 0.5000
Th1 0.5000 0.0000 0.5000
Th2 0.5000 0.5000 0.0000
N1 0.2551 0.0000 0.7468
N2 0.2664 0.5000 0.2614
N3 0.7336 0.5000 0.7386
N4 0.7449 0.0000 0.2532

Top 10 peaks for 10 to 80 degrees two-theta, by angle:
15.2°, I 29; 28.9°, I 19; 30.2°, I 100; 30.8°, I 32; 35.2°, I 95; 50.3°, I 34; 51.0°, I 33; 59.8°, I 16; 60.1°, I 21; 62.9°, I 17


The following is a simulated XRD peak list of CaTcN3. It was derived from DFT lattice parameters and positions (GGA-PBE), using Cu Kα (weighted mean of Kα1 and Kα2).

Cell lengths 3.6358, 5.5399, 7.1449 Å; angles 70.30, 85.26, 82.74 degrees
Fractional positions:
Ca1 0.0000 0.0000 0.0000
Ca2 0.0354 0.5217 0.4856
Tc1 0.4459 0.5491 0.8508
Tc2 0.6415 0.0096 0.6004
N1 0.1767 0.0969 0.4445
N2 0.4735 0.6024 0.0888
N3 0.5171 0.2579 0.7426
N4 0.5689 0.6601 0.2279
N5 0.9358 0.6985 0.7540
N6 0.9695 0.0261 0.3411

Top 10 peaks for 10 to 80 degrees two-theta, by angle:
13.2°, I 100; 17.8°, I 25; 26.4°, I 41; 27.6°, I 35; 28.6°, I 25; 32.6°, I 39; 34.5°, I 53; 34.6°, I 47; 35.7°, I 23; 36.3°, I 23


The following is a simulated XRD peak list of CaTcN3. It was derived from DFT lattice parameters and positions (GGA-PBE), using Cu Kα (weighted mean of Kα1 and Kα2).

Cell lengths 5.7552, 4.1338, 5.8904 Å; angles 90.00, 109.25, 90.00 degrees
Fractional positions:
Ca1 0.2500 0.0000 0.0149
Ca2 0.7500 0.5000 0.9851
Tc1 0.1463 0.7625 0.4784
Tc2 0.8537 0.2625 0.5216
N1 0.0559 0.5332 0.7569
N2 0.3525 0.5635 0.3357
N3 0.4822 0.9745 0.7446
N4 0.5178 0.4745 0.2554
N5 0.6475 0.0635 0.6643
N6 0.9441 0.0332 0.2431

Top 10 peaks for 10 to 80 degrees two-theta, by angle:
15.9°, I 86; 16.3°, I 52; 26.4°, I 33; 27.1°, I 100; 28.6°, I 76; 32.2°, I 40; 34.3°, I 70; 38.0°, I 80; 39.7°, I 36; 46.9°, I 61


The following is a simulated XRD peak list of Ca8Tc3N8. It was derived from DFT lattice parameters and positions (GGA-PBE), using Cu Kα (weighted mean of Kα1 and Kα2).

Cell lengths 9.4647, 9.4647, 7.3201 Å; angles 105.02, 105.02, 30.85 degrees
Fractional positions:
Ca1 0.0248 0.0248 0.2572
Ca2 0.1959 0.1959 0.7939
Ca3 0.3369 0.3369 0.5311
Ca4 0.4029 0.4029 0.0436
Ca5 0.5971 0.5971 0.9564
Ca6 0.6631 0.6631 0.4689
Ca7 0.8041 0.8041 0.2061
Ca8 0.9752 0.9752 0.7428
Tc1 0.1878 0.1878 0.2054
Tc2 0.5000 0.5000 0.5000
Tc3 0.8122 0.8122 0.7946
N1 0.1004 0.1004 0.9951
N2 0.1752 0.1752 0.4471
N3 0.2862 0.2862 0.1749
N4 0.4729 0.4729 0.7283
N5 0.5271 0.5271 0.2717
N6 0.7138 0.7138 0.8251
N7 0.8248 0.8248 0.5529
N8 0.8996 0.8996 0.0049

Top 10 peaks for 10 to 80 degrees two-theta, by angle:
18.1°, I 25; 21.5°, I 60; 23.3°, I 36; 30.5°, I 23; 30.8°, I 19; 31.0°, I 19; 32.5°, I 57; 35.7°, I 100; 36.2°, I 31; 42.4°, I 21


The following is a simulated XRD peak list of CaTcN3. It was derived from DFT lattice parameters and positions (GGA-PBE), using Cu Kα (weighted mean of Kα1 and Kα2).

Cell lengths 3.6836, 4.6643, 7.7445 Å; angles 90.00, 100.36, 90.00 degrees
Fractional positions:
Ca1 0.1050 0.0000 0.3327
Ca2 0.8950 0.5000 0.6673
Tc1 0.3866 0.4912 0.0820
Tc2 0.6134 0.9912 0.9180
N1 0.1400 0.7985 0.9441
N2 0.2677 0.5071 0.4582
N3 0.4140 0.4995 0.3256
N4 0.5860 0.9995 0.6744
N5 0.7323 0.0071 0.5418
N6 0.8600 0.2985 0.0559

Top 10 peaks for 10 to 80 degrees two-theta, by angle:
11.6°, I 100; 29.1°, I 57; 30.3°, I 72; 31.3°, I 19; 31.8°, I 88; 36.5°, I 22; 38.6°, I 40; 40.4°, I 40; 49.1°, I 34; 54.3°, I 28


The following is a simulated XRD peak list of CaY2TcN4. It was derived from DFT lattice parameters and positions (GGA-PBE), using Cu Kα (weighted mean of Kα1 and Kα2).

Cell lengths 6.1358, 6.1358, 11.7400 Å; angles 90.00, 90.00, 147.34 degrees
Fractional positions:
Ca1 0.1168 0.8832 0.7500
Ca2 0.8832 0.1168 0.2500
Y1 0.3693 0.6307 0.5361
Y2 0.3693 0.6307 0.9639
Y3 0.6307 0.3693 0.0361
Y4 0.6307 0.3693 0.4639
Tc1 0.1502 0.8498 0.2500
Tc2 0.8498 0.1502 0.7500
N1 0.0000 0.0000 0.0000
N2 0.0000 0.0000 0.5000
N3 0.2585 0.7415 0.1247
N4 0.2585 0.7415 0.3753
N5 0.4307 0.5693 0.7500
N6 0.5693 0.4307 0.2500
N7 0.7415 0.2585 0.6247
N8 0.7415 0.2585 0.8753

Top 10 peaks for 10 to 80 degrees two-theta, by angle:
16.8°, I 60; 30.4°, I 89; 31.0°, I 77; 35.5°, I 28; 38.0°, I 100; 41.4°, I 29; 43.5°, I 29; 52.5°, I 27; 62.4°, I 22; 63.5°, I 19


The following is a simulated XRD peak list of CaZn2TcN4. It was derived from DFT lattice parameters and positions (GGA-PBE), using Cu Kα (weighted mean of Kα1 and Kα2).

Cell lengths 7.1317, 5.6686, 5.4407 Å; angles 90.00, 90.00, 90.00 degrees
Fractional positions:
Ca1 0.0000 0.1815 0.0000
Ca2 0.5000 0.8185 0.5000
Zn1 0.2472 0.3223 0.5134
Zn2 0.2528 0.6777 0.0134
Zn3 0.7472 0.6777 0.0134
Zn4 0.7528 0.3223 0.5134
Tc1 0.0000 0.8089 0.5189
Tc2 0.5000 0.1911 0.0189
N1 0.0000 0.1346 0.4467
N2 0.0000 0.7802 0.8602
N3 0.2085 0.6603 0.3853
N4 0.2915 0.3397 0.8853
N5 0.5000 0.2198 0.3602
N6 0.5000 0.8654 0.9467
N7 0.7085 0.3397 0.8853
N8 0.7915 0.6603 0.3853

Top 10 peaks for 10 to 80 degrees two-theta, by angle:
20.5°, I 17; 29.6°, I 27; 31.6°, I 27; 32.9°, I 43; 34.0°, I 100; 35.7°, I 27; 51.2°, I 14; 55.0°, I 21; 59.5°, I 27; 65.6°, I 19


The following is a simulated XRD peak list of Ca8TeN4. It was derived from DFT lattice parameters and positions (GGA-PBE), using Cu Kα (weighted mean of Kα1 and Kα2).

Cell lengths 7.6663, 7.6663, 7.6663 Å; angles 60.00, 60.00, 60.00 degrees
Fractional positions:
Ca1 0.4002 0.4002 0.4002
Ca2 0.4002 0.4002 0.7994
Ca3 0.4002 0.7994 0.4002
Ca4 0.4280 0.8573 0.8573
Ca5 0.7994 0.4002 0.4002
Ca6 0.8573 0.4280 0.8573
Ca7 0.8573 0.8573 0.4280
Ca8 0.8573 0.8573 0.8573
Te1 0.2500 0.2500 0.2500
N1 0.1228 0.6257 0.6257
N2 0.6257 0.1228 0.6257
N3 0.6257 0.6257 0.1228
N4 0.6257 0.6257 0.6257

Top 10 peaks for 10 to 80 degrees two-theta, by angle:
14.1°, I 57; 16.4°, I 44; 23.2°, I 73; 27.3°, I 79; 28.5°, I 100; 33.0°, I 33; 36.1°, I 66; 37.1°, I 34; 43.4°, I 91; 47.4°, I 80


The following is a simulated XRD peak list of CaThWN4. It was derived from DFT lattice parameters and positions (GGA-PBE), using Cu Kα (weighted mean of Kα1 and Kα2).

Cell lengths 6.9235, 6.9235, 5.5033 Å; angles 90.00, 90.00, 132.03 degrees
Fractional positions:
Ca1 0.1047 0.8953 0.7500
Ca2 0.8953 0.1047 0.2500
Th1 0.3968 0.6032 0.7500
Th2 0.6032 0.3968 0.2500
W1 0.2335 0.7665 0.2500
W2 0.7665 0.2335 0.7500
N1 0.0000 0.5000 0.0000
N2 0.0000 0.5000 0.5000
N3 0.0840 0.9160 0.2500
N4 0.4266 0.5734 0.2500
N5 0.5000 0.0000 0.0000
N6 0.5000 0.0000 0.5000
N7 0.5734 0.4266 0.7500
N8 0.9160 0.0840 0.7500

Top 10 peaks for 10 to 80 degrees two-theta, by angle:
14.0°, I 16; 17.2°, I 20; 21.4°, I 36; 31.1°, I 100; 31.8°, I 31; 32.5°, I 29; 38.7°, I 17; 46.1°, I 27; 56.2°, I 20; 57.2°, I 19


The following is a simulated XRD peak list of Ca2ThZnN4. It was derived from DFT lattice parameters and positions (GGA-PBE), using Cu Kα (weighted mean of Kα1 and Kα2).

Cell lengths 6.0311, 6.0311, 11.7485 Å; angles 90.00, 90.00, 146.51 degrees
Fractional positions:
Ca1 0.1331 0.8669 0.5496
Ca2 0.1331 0.8669 0.9504
Ca3 0.8669 0.1331 0.0496
Ca4 0.8669 0.1331 0.4504
Th1 0.3939 0.6061 0.7500
Th2 0.6061 0.3939 0.2500
Zn1 0.3460 0.6540 0.2500
Zn2 0.6540 0.3460 0.7500
N1 0.0491 0.9509 0.7500
N2 0.2163 0.7837 0.1369
N3 0.2163 0.7837 0.3631
N4 0.5000 0.5000 0.0000
N5 0.5000 0.5000 0.5000
N6 0.7837 0.2163 0.6369
N7 0.7837 0.2163 0.8631
N8 0.9509 0.0491 0.2500

Top 10 peaks for 10 to 80 degrees two-theta, by angle:
15.1°, I 90; 17.1°, I 39; 27.5°, I 36; 30.4°, I 35; 30.9°, I 100; 35.6°, I 47; 38.1°, I 42; 41.0°, I 25; 49.9°, I 26; 52.7°, I 28


The following is a simulated XRD peak list of Ca3TiN3. It was derived from DFT lattice parameters and positions (GGA-PBE), using Cu Kα (weighted mean of Kα1 and Kα2).

Cell lengths 8.1494, 8.1494, 9.7795 Å; angles 90.00, 90.00, 41.22 degrees
Fractional positions:
Ca1 0.0472 0.3166 0.8605
Ca2 0.1249 0.8751 0.8381
Ca3 0.1834 0.4528 0.6395
Ca4 0.3166 0.0472 0.1395
Ca5 0.3751 0.6249 0.3381
Ca6 0.4528 0.1834 0.3605
Ca7 0.5472 0.8166 0.6395
Ca8 0.6249 0.3751 0.6619
Ca9 0.6834 0.9528 0.8605
Ca10 0.8166 0.5472 0.3605
Ca11 0.8751 0.1249 0.1619
Ca12 0.9528 0.6834 0.1395
Ti1 0.0914 0.0914 0.5000
Ti2 0.4086 0.4086 0.0000
Ti3 0.5914 0.5914 0.0000
Ti4 0.9086 0.9086 0.5000
N1 0.0517 0.6297 0.3832
N2 0.1297 0.5517 0.8832
N3 0.2074 0.7926 0.5985
N4 0.2926 0.7074 0.0985
N5 0.3703 0.9483 0.3832
N6 0.4483 0.8703 0.8832
N7 0.5517 0.1297 0.1168
N8 0.6297 0.0517 0.6168
N9 0.7074 0.2926 0.9015
N10 0.7926 0.2074 0.4015
N11 0.8703 0.4483 0.1168
N12 0.9483 0.3703 0.6168

Top 10 peaks for 10 to 80 degrees two-theta, by angle:
29.7°, I 53; 32.1°, I 100; 34.5°, I 82; 34.6°, I 79; 35.3°, I 29; 48.9°, I 27; 51.9°, I 46; 54.6°, I 24; 58.4°, I 22; 64.2°, I 22


The following is a simulated XRD peak list of CaTiN2. It was derived from DFT lattice parameters and positions (GGA-PBE), using Cu Kα (weighted mean of Kα1 and Kα2).

Cell lengths 6.0763, 7.3684, 5.3418 Å; angles 90.00, 90.00, 90.00 degrees
Fractional positions:
Ca1 0.0893 0.1207 0.0000
Ca2 0.4107 0.6207 0.5000
Ca3 0.5893 0.3793 0.0000
Ca4 0.9107 0.8793 0.5000
Ti1 0.0667 0.6266 0.0237
Ti2 0.4333 0.1266 0.5237
Ti3 0.5667 0.8734 0.0237
Ti4 0.9333 0.3734 0.5237
N1 0.0451 0.5933 0.3772
N2 0.1174 0.1599 0.4600
N3 0.3826 0.6599 0.9600
N4 0.4549 0.0933 0.8772
N5 0.5451 0.9067 0.3772
N6 0.6174 0.3401 0.4600
N7 0.8826 0.8401 0.9600
N8 0.9549 0.4067 0.8772

Top 10 peaks for 10 to 80 degrees two-theta, by angle:
28.3°, I 56; 29.4°, I 35; 33.0°, I 100; 33.6°, I 60; 33.9°, I 36; 44.5°, I 23; 49.5°, I 20; 51.5°, I 34; 59.6°, I 26; 62.9°, I 28